# 1
# Rb3TcH8
Computed powder X-ray diffraction pattern, Cu Kα, 1.54184 Å. Input: a cell relaxed with PBE.
Intensities are scaled so that the largest is 100.

Largest 6 diffraction maxima, by angle, 2θ = 10–90°:
| 2θ (°) | I (rel.) | h k l |
| --- | --- | --- |
| 27.34 | 58 | 2 0 0 |
| 29.00 | 100 | 1 1 2 |
| 39.05 | 23 | 2 2 0 |
| 49.37 | 44 | 3 1 2 |
| 52.40 | 18 | 2 0 4 |
| 60.10 | 12 | 2 2 4 |

Atomic structure:
```
data_Rb3TcH8
_cell_length_a 6.523
_cell_length_b 6.523
_cell_length_c 8.270
_cell_angle_alpha 90.00
_cell_angle_beta 90.00
_cell_angle_gamma 90.00
_symmetry_space_group_name_H-M 'I -4 2 m'
_symmetry_Int_Tables_number 121
_symmetry_space_group_name_Hall 'I -4 2'
loop_
_atom_site_label
_atom_site_type_symbol
_atom_site_fract_x
_atom_site_fract_y
_atom_site_fract_z
Rb1 Rb 0.000 0.000 0.000
Rb2 Rb 0.000 0.500 0.250
Tc1 Tc 0.000 0.000 0.500
H1 H 0.105 0.105 0.668
H2 H 0.183 0.183 0.450
```

---

# 2
# Ce3Tl2Hg2
Computed powder X-ray diffraction pattern, Cu Kα, 1.54184 Å. Input: a cell relaxed with PBE.
Intensities are scaled so that the largest is 100.

Largest 6 diffraction maxima, by angle, 2θ = 10–90°:
| 2θ (°) | I (rel.) | h k l |
| --- | --- | --- |
| 32.51 | 82 | 1 1 1 |
| 32.80 | 100 | 1 7 0 |
| 35.49 | 46 | 0 6 1 |
| 36.69 | 41 | 2 0 0 |
| 51.96 | 31 | 2 6 1 |
| 65.12 | 28 | 1 7 2 |

Atomic structure:
```
data_Ce3Tl2Hg2
_cell_length_a 4.899
_cell_length_b 23.017
_cell_length_c 3.365
_cell_angle_alpha 90.00
_cell_angle_beta 90.00
_cell_angle_gamma 90.00
_symmetry_space_group_name_H-M 'C m m m'
_symmetry_Int_Tables_number 65
_symmetry_space_group_name_Hall '-C 2 2'
loop_
_atom_site_label
_atom_site_type_symbol
_atom_site_fract_x
_atom_site_fract_y
_atom_site_fract_z
Ce1 Ce 0.000 0.000 0.000
Ce2 Ce 0.000 0.156 0.000
Tl1 Tl 0.000 0.424 0.500
Hg1 Hg 0.000 0.285 0.500
```

---

# 3
# Rb4Sm3HfS8
Computed powder X-ray diffraction pattern, Cu Kα, 1.54184 Å. Input: a cell relaxed with PBE.
Intensities are scaled so that the largest is 100.

Largest 6 diffraction maxima, by angle, 2θ = 10–90°:
| 2θ (°) | I (rel.) | h k l |
| --- | --- | --- |
| 11.48 | 29 | 0 0 3 |
| 23.07 | 25 | 0 0 6 |
| 26.48 | 46 | 2 0 2 |
| 29.72 | 100 | 0 2 4 |
| 40.38 | 37 | 2 0 8 |
| 44.61 | 33 | 2 2 0 |

Atomic structure:
```
data_Rb4Sm3HfS8
_cell_length_a 8.1253
_cell_length_b 8.1253
_cell_length_c 23.1267
_cell_angle_alpha 90.00
_cell_angle_beta 90.00
_cell_angle_gamma 120.00
_symmetry_space_group_name_H-M 'R -3 m'
_symmetry_Int_Tables_number 166
_symmetry_space_group_name_Hall '-R 3 2"'
loop_
_atom_site_label
_atom_site_type_symbol
_atom_site_fract_x
_atom_site_fract_y
_atom_site_fract_z
Rb1 Rb 0.0000 0.0000 0.0000
Rb2 Rb 0.0000 0.5000 0.0000
Sm1 Sm 0.0000 0.5000 0.5000
Hf1 Hf 0.0000 0.0000 0.5000
S1 S 0.0000 0.0000 0.2336
S2 S 0.0226 0.5113 0.2303
```

---

# 4
# PuGa4Au2
Computed powder X-ray diffraction pattern, Cu Kα, 1.54184 Å. Input: a cell relaxed with PBE.
Intensities are scaled so that the largest is 100.

Largest 6 diffraction maxima, by angle, 2θ = 10–90°:
| 2θ (°) | I (rel.) | h k l |
| --- | --- | --- |
| 27.84 | 25 | 2 0 2 |
| 34.38 | 100 | 2 1 2 |
| 35.10 | 66 | 5 1 1 |
| 38.47 | 33 | 7 0 1 |
| 40.15 | 51 | 0 2 0 |
| 45.57 | 36 | 2 1 3 |

Atomic structure:
```
data_PuGa4Au2
_cell_length_a 17.417
_cell_length_b 4.492
_cell_length_c 6.892
_cell_angle_alpha 90.00
_cell_angle_beta 90.00
_cell_angle_gamma 90.00
_symmetry_space_group_name_H-M 'P n m a'
_symmetry_Int_Tables_number 62
loop_
_symmetry_equiv_pos_as_xyz
'x,y,z'
'-x,-y,-z'
'-x+1/2,-y,z+1/2'
'x+1/2,y,-z+1/2'
'x+1/2,-y+1/2,-z+1/2'
'-x+1/2,y+1/2,z+1/2'
'-x,y+1/2,-z'
'x,-y+1/2,z'
loop_
_atom_site_label
_atom_site_type_symbol
_atom_site_fract_x
_atom_site_fract_y
_atom_site_fract_z
Pu1 Pu 0.141 0.250 0.016
Ga1 Ga 0.040 0.750 0.850
Ga2 Ga 0.065 0.250 0.466
Ga3 Ga 0.183 0.750 0.321
Ga4 Ga 0.187 0.750 0.729
Au1 Au 0.032 0.750 0.243
Au2 Au 0.214 0.250 0.529
```

---

# 5
# ZrGeP2Cl
Computed powder X-ray diffraction pattern, Cu Kα, 1.54184 Å. Input: a cell relaxed with PBE.
Intensities are scaled so that the largest is 100.

Largest 6 diffraction maxima, by angle, 2θ = 10–90°:
| 2θ (°) | I (rel.) | h k l |
| --- | --- | --- |
| 24.74 | 61 | 1 1 0 |
| 25.22 | 100 | 1 0 1 |
| 35.26 | 84 | 2 0 0 |
| 36.66 | 38 | 0 0 2 |
| 43.85 | 46 | 2 1 1 |
| 51.78 | 53 | 2 0 2 |

Atomic structure:
```
data_ZrGeP2Cl
_cell_length_a 5.090
_cell_length_b 5.090
_cell_length_c 4.903
_cell_angle_alpha 90.00
_cell_angle_beta 90.00
_cell_angle_gamma 90.00
_symmetry_space_group_name_H-M 'P 4/m m m'
_symmetry_Int_Tables_number 123
_symmetry_space_group_name_Hall '-P 4 2'
loop_
_atom_site_label
_atom_site_type_symbol
_atom_site_fract_x
_atom_site_fract_y
_atom_site_fract_z
Zr1 Zr 0.000 0.000 0.000
Ge1 Ge 0.500 0.500 0.500
P1 P 0.000 0.500 0.000
Cl1 Cl 0.000 0.000 0.500
```

---

# 6
# Mg6CuAu10
Computed powder X-ray diffraction pattern, Cu Kα, 1.54184 Å. Input: a cell relaxed with PBE.
Intensities are scaled so that the largest is 100.

Largest 6 diffraction maxima, by angle, 2θ = 10–90°:
| 2θ (°) | I (rel.) | h k l |
| --- | --- | --- |
| 25.56 | 30 | 2 0 0 |
| 27.45 | 71 | 2 -1 1 |
| 37.86 | 50 | 3 -1 1 |
| 38.76 | 75 | 3 0 0 |
| 39.65 | 100 | 1 1 2 |
| 56.65 | 30 | 4 -2 2 |

Atomic structure:
```
data_Mg6CuAu10
_cell_length_a 8.0480
_cell_length_b 8.0480
_cell_length_c 5.5099
_cell_angle_alpha 90.00
_cell_angle_beta 90.00
_cell_angle_gamma 120.00
_symmetry_space_group_name_H-M 'P -3 1 m'
_symmetry_Int_Tables_number 162
_symmetry_space_group_name_Hall '-P 3 2'
loop_
_atom_site_label
_atom_site_type_symbol
_atom_site_fract_x
_atom_site_fract_y
_atom_site_fract_z
Mg1 Mg 0.0000 0.3728 0.2851
Cu1 Cu 0.0000 0.0000 0.5000
Au1 Au 0.0000 0.2729 0.7975
Au2 Au 0.3333 0.6667 0.0000
Au3 Au 0.3333 0.6667 0.5000
```

---

# 7
# KTcCl6
Computed powder X-ray diffraction pattern, Cu Kα, 1.54184 Å. Input: a cell relaxed with PBE.
Intensities are scaled so that the largest is 100.

Largest 6 diffraction maxima, by angle, 2θ = 10–90°:
| 2θ (°) | I (rel.) | h k l |
| --- | --- | --- |
| 14.85 | 98 | 1 1 0 |
| 18.32 | 100 | 0 2 0 |
| 23.62 | 36 | 0 2 1 |
| 35.29 | 90 | 1 3 1 |
| 35.42 | 45 | 3 1 -1 |
| 51.83 | 42 | 1 1 3 |

Atomic structure:
```
data_KTcCl6
_cell_length_a 7.938
_cell_length_b 9.715
_cell_length_c 6.255
_cell_angle_alpha 90.00
_cell_angle_beta 107.59
_cell_angle_gamma 90.00
_symmetry_space_group_name_H-M 'C 1 2/m 1'
_symmetry_Int_Tables_number 12
loop_
_symmetry_equiv_pos_as_xyz
'x,y,z'
'-x,-y,-z'
'-x,y,-z'
'x,-y,z'
'x+1/2,y+1/2,z'
'-x+1/2,-y+1/2,-z'
'-x+1/2,y+1/2,-z'
'x+1/2,-y+1/2,z'
loop_
_atom_site_label
_atom_site_type_symbol
_atom_site_fract_x
_atom_site_fract_y
_atom_site_fract_z
K1 K 0.000 0.000 0.000
Tc1 Tc 0.000 0.500 0.500
Cl1 Cl 0.104 0.331 0.773
Cl2 Cl 0.227 0.000 0.570
```

---

# 8
# AcPm2Pr4
Computed powder X-ray diffraction pattern, Cu Kα, 1.54184 Å. Input: a cell relaxed with PBE.
Intensities are scaled so that the largest is 100.

Largest 6 diffraction maxima, by angle, 2θ = 10–90°:
| 2θ (°) | I (rel.) | h k l |
| --- | --- | --- |
| 25.64 | 42 | 2 1 1 |
| 29.52 | 38 | 3 1 0 |
| 30.04 | 67 | 0 0 2 |
| 30.39 | 100 | 2 2 1 |
| 31.83 | 58 | 3 0 1 |
| 33.21 | 71 | 3 1 1 |

Atomic structure:
```
data_AcPm2Pr4
_cell_length_a 9.570
_cell_length_b 9.570
_cell_length_c 5.950
_cell_angle_alpha 90.00
_cell_angle_beta 90.00
_cell_angle_gamma 90.00
_symmetry_space_group_name_H-M 'P 42/m n m'
_symmetry_Int_Tables_number 136
_symmetry_space_group_name_Hall '-P 4n 2n'
loop_
_atom_site_label
_atom_site_type_symbol
_atom_site_fract_x
_atom_site_fract_y
_atom_site_fract_z
Ac1 Ac 0.000 0.000 0.000
Pm1 Pm 0.197 0.197 0.500
Pr1 Pr 0.110 0.371 0.000
```